(1)
Structure and theoretical X-ray diffraction stick pattern of BaNiAsPt (a cell relaxed with PBE; Cu Kα (λ = 1.5418 Å)).

Largest 8 diffraction maxima, low angle first, 2θ from 10° to 90°:
2θ (°), Rel. int., hkl
15.40, 30, 0 0 2
27.36, 21, 1 0 2
31.08, 22, 0 0 4
32.51, 32, 1 0 3
32.96, 25, 1 1 1
35.69, 100, 1 1 2
45.88, 39, 2 0 0
58.33, 24, 1 1 6

Structure:
Unit cell a=3.9554 b=3.9554 c=11.5098 alpha=90.00 beta=90.00 gamma=90.00
Fractional coordinates of all 8 atoms:
Ba1 0.2500 0.2500 0.2247
Ba2 0.7500 0.7500 0.7753
Ni1 0.2500 0.7500 0.5000
Ni2 0.7500 0.2500 0.5000
As1 0.2500 0.2500 0.6109
As2 0.7500 0.7500 0.3891
Pt1 0.2500 0.7500 0.0000
Pt2 0.7500 0.2500 0.0000

=====

(2)
Structure and theoretical X-ray diffraction stick pattern of Ba2NpAs3Pd4 (a cell relaxed with PBE; Cu Kα (λ = 1.5418 Å)).

Largest 8 diffraction maxima, low angle first, 2θ from 10° to 90°:
2θ (°), Rel. int., hkl
30.78, 31, 1 0 3
32.41, 100, 1 1 2
40.50, 51, 2 0 0
42.58, 25, 1 1 4
44.33, 16, 1 0 5
56.18, 16, 1 1 6
58.61, 17, 2 2 0
68.59, 23, 3 1 2

Structure:
Unit cell a=4.4548 b=4.4548 c=11.4964 alpha=90.00 beta=90.00 gamma=90.00
Fractional coordinates of all 10 atoms:
Ba1 0.0000 0.5000 0.2277
Ba2 0.5000 0.0000 0.7723
Np1 0.0000 0.0000 0.5000
As1 0.0000 0.5000 0.8820
As2 0.5000 0.0000 0.1180
As3 0.5000 0.5000 0.5000
Pd1 0.0000 0.0000 0.0000
Pd2 0.0000 0.5000 0.6550
Pd3 0.5000 0.0000 0.3450
Pd4 0.5000 0.5000 0.0000

=====

(3)
Structure and theoretical X-ray diffraction stick pattern of Ba2NpAs3Pt4 (a cell relaxed with PBE; Cu Kα (λ = 1.5418 Å)).

Largest 8 diffraction maxima, low angle first, 2θ from 10° to 90°:
2θ (°), Rel. int., hkl
25.31, 15, 1 0 2
30.88, 22, 1 0 3
32.37, 100, 1 1 2
40.32, 53, 2 0 0
42.71, 32, 1 1 4
44.62, 17, 1 0 5
58.33, 18, 2 2 0
68.31, 24, 3 1 2

Structure:
Unit cell a=4.4742 b=4.4742 c=11.3957 alpha=90.00 beta=90.00 gamma=90.00
Fractional coordinates of all 10 atoms:
Ba1 0.0000 0.5000 0.2306
Ba2 0.5000 0.0000 0.7694
Np1 0.0000 0.0000 0.5000
As1 0.0000 0.5000 0.8839
As2 0.5000 0.0000 0.1161
As3 0.5000 0.5000 0.5000
Pt1 0.0000 0.0000 0.0000
Pt2 0.0000 0.5000 0.6558
Pt3 0.5000 0.0000 0.3442
Pt4 0.5000 0.5000 0.0000

=====

(4)
Structure and theoretical X-ray diffraction stick pattern of Ba2As6O11 (a cell relaxed with PBE; Cu Kα (λ = 1.5418 Å)).

Largest 8 diffraction maxima, low angle first, 2θ from 10° to 90°:
2θ (°), Rel. int., hkl
25.00, 26, 1 1 2
25.83, 52, 1 0 2
26.42, 38, 1 0 -2
27.29, 100, -1 1 2
29.71, 41, 1 2 0
32.58, 32, 1 -2 0
33.73, 39, 2 0 0
38.29, 23, 0 1 4

Structure:
Unit cell a=5.3501 b=7.2485 c=9.4150 alpha=70.92 beta=86.68 gamma=83.57
Fractional coordinates of all 19 atoms:
Ba1 0.0000 0.0000 0.0000
Ba2 0.4711 0.6139 0.8546
As1 0.0471 0.8941 0.5454
As2 0.4820 0.7097 0.3444
As3 0.5016 0.1852 0.2623
As4 0.5043 0.1575 0.7081
As5 0.9731 0.4436 0.1763
As6 0.9831 0.4232 0.6200
O1 0.1271 0.9564 0.6979
O2 0.2185 0.7219 0.2458
O3 0.2331 0.2611 0.1367
O4 0.2386 0.3263 0.7559
O5 0.3618 0.7715 0.5152
O6 0.5251 0.9776 0.8816
O7 0.6027 0.9542 0.2333
O8 0.7183 0.3173 0.1168
O9 0.7393 0.3149 0.7549
O10 0.9136 0.6555 0.6569
O11 0.9842 0.6227 0.0037